Li3In: simulated X-ray powder pattern (λ = 1.5418 Å (Cu Kα)), based on a crystal structure in the Materials Project, relaxed with GGA-PBE.
No peak broadening, texture or thermal motion is included.

Cell and atoms:
Lattice parameters (Å, degrees): 4.1009 4.1009 8.9432 90.00 90.00 90.00
Space group I4/mmm (No. 139)
Asymmetric unit:
Li (0.0000, 0.0000, 0.0000) (multiplicity 2)
Li (0.0000, 0.5000, 0.2500) (multiplicity 4)
In (0.0000, 0.0000, 0.5000) (multiplicity 2)

The 10 most intense peaks (2θ from 10° to 80°), most intense first:
index	d [Å]	Rel. int.
1 0 1	3.728	100
1 1 2	2.433	45
0 0 2	4.472	39
1 0 3	2.411	31
1 1 0	2.900	26
2 1 1	1.797	25
2 1 3	1.562	16
2 0 2	1.864	14
2 0 0	2.050	13
1 1 4	1.771	12